TmSc4Se6: calculated powder diffraction line list (Cu Ka), based on a cell relaxed with GGA-PBE.
Intensities are scaled so that the largest is 100.

Structural model:
a b c (Å): 6.6415 6.6415 19.8959
angles (deg): 90.00 90.00 146.46
Fractional positions:
Tm1 0.1515 0.8485 0.7500
Tm2 0.8485 0.1515 0.2500
Sc1 0.0921 0.9079 0.1245
Sc2 0.0921 0.9079 0.3755
Sc3 0.3579 0.6421 0.0375
Sc4 0.3579 0.6421 0.4625
Sc5 0.6421 0.3579 0.5375
Sc6 0.6421 0.3579 0.9625
Sc7 0.9079 0.0921 0.6245
Sc8 0.9079 0.0921 0.8755
Se1 0.0000 0.0000 0.0000
Se2 0.0000 0.0000 0.5000
Se3 0.1855 0.8145 0.2500
Se4 0.2684 0.7316 0.5891
Se5 0.2684 0.7316 0.9109
Se6 0.4505 0.5495 0.1629
Se7 0.4505 0.5495 0.3371
Se8 0.5495 0.4505 0.6629
Se9 0.5495 0.4505 0.8371
Se10 0.7316 0.2684 0.0891
Se11 0.7316 0.2684 0.4109
Se12 0.8145 0.1855 0.7500

Most intense lines, 15 to 90 degrees two-theta, low angle first:
d = 2.953 Å, 2θ = 30.26°, I 23.6; d = 2.940 Å, 2θ = 30.40°, I 64.3; d = 2.815 Å, 2θ = 31.79°, I 18.2; d = 2.734 Å, 2θ = 32.76°, I 100.0; d = 2.613 Å, 2θ = 34.32°, I 44.3; d = 2.247 Å, 2θ = 40.13°, I 16.7; d = 2.059 Å, 2θ = 43.98°, I 26.4; d = 2.019 Å, 2θ = 44.90°, I 17.4; d = 1.950 Å, 2θ = 46.58°, I 39.4; d = 1.917 Å, 2θ = 47.44°, I 28.4; d = 1.871 Å, 2θ = 48.66°, I 21.0; d = 1.606 Å, 2θ = 57.39°, I 20.8